For BeHgBr2, a DFT-relaxed cell (GGA-PBE, Alexandria) gives the calculated XRD peak list in this record (λ = 1.5418 Å (Cu Kα)).
Neutral-atom scattering factors, no anomalous dispersion.

Principal peaks in the range 2θ from 5° to 70°, in order of rising 2θ:
| 2theta | I/Imax |
| --- | --- |
| 8.01 | 37 |
| 16.05 | 36 |
| 21.62 | 91 |
| 24.18 | 58 |
| 30.23 | 100 |
| 32.66 | 55 |
| 33.41 | 52 |
| 43.66 | 37 |
| 44.11 | 65 |
| 54.75 | 27 |

Cell and atoms:
```
data_BeHgBr2
_space_group_name_H-M_alt 'P 1'
_space_group_IT_number 1
_cell_length_a 4.431
_cell_length_b 4.431
_cell_length_c 11.041
_cell_angle_alpha 90.00
_cell_angle_beta 90.00
_cell_angle_gamma 136.17
loop_
_space_group_symop_operation_xyz
'x,y,z'
loop_
_atom_site_label
_atom_site_type_symbol
_atom_site_fract_x
_atom_site_fract_y
_atom_site_fract_z
Be1 Be 0.000 0.000 0.000
Hg1 Hg 0.000 0.000 0.500
Br1 Br 0.500 0.500 0.143
Br2 Br 0.500 0.500 0.857
```